No. 1
The following is a theoretical XRD peak list of Mg3As4Pd7. It was derived from a PBE-relaxed structure, using Cu Kα X-rays.

Most intense lines, 10° ≤ 2θ ≤ 90°, low angle first:
2θ (°)	I_rel
21.3	47
23.6	58
38.7	39
39.0	99
42.3	100
42.7	63

Crystal structure
```
14
Lattice="7.1839 -2.1152 0.0000 7.1839 2.1152 0.0000 -3.3925 0.0000 7.8340" Properties=species:S:1:pos:R:3 pbc="T T T"
Mg 0.0000 0.0000 0.0000
Mg 3.9289 0.0000 2.9535
Mg 7.0465 0.0000 4.8805
As 0.5002 0.0000 2.7547
As 1.5012 0.0000 7.5614
As 9.4741 0.0000 0.2726
As 10.4751 0.0000 5.0793
Pd -1.6963 0.0000 3.9170
Pd -0.8649 0.0000 6.6765
Pd 1.6956 0.0000 5.0035
Pd 4.4756 0.0000 5.9827
Pd 6.4997 0.0000 1.8513
Pd 9.2797 0.0000 2.8306
Pd 11.8402 0.0000 1.1575
```



No. 2
The following is a theoretical XRD peak list of Ho2Fe5Si4. It was derived from a PBE-relaxed structure, using Cu Kα X-rays.

Most intense lines, 10° ≤ 2θ ≤ 90°, low angle first:
2θ (°)	I_rel
28.2	93
33.8	91
34.2	42
38.7	100
39.6	91
43.7	74

Crystal structure
```
11
Lattice="0.0000 4.6260 6.4828 2.6957 0.0000 6.4828 2.6957 4.6260 0.0000" Properties=species:S:1:pos:R:3 pbc="T T T"
Ho 2.6957 4.6260 1.7305
Ho 2.6957 4.6260 11.2351
Fe 1.3479 2.3130 0.0000
Fe 1.3479 2.3130 3.2414
Fe 1.3479 2.3130 6.4828
Fe 2.6957 4.6260 6.4828
Fe 4.0436 6.9390 9.7242
Si 2.6957 3.2680 4.7274
Si 2.6957 3.2680 8.2382
Si 2.6957 5.9839 4.7274
Si 2.6957 5.9839 8.2382
```



No. 3
The following is a theoretical XRD peak list of Ag14HgSb. It was derived from a PBE-relaxed structure, using Cu Kα X-rays.

Most intense lines, 10° ≤ 2θ ≤ 90°, low angle first:
2θ (°)	I_rel
37.0	100
42.6	33
43.6	15
62.6	20
74.3	24
75.6	11

Crystal structure
```
16
Lattice="6.0000 0.0000 0.0000 0.0000 6.0000 0.0000 0.0000 0.0000 8.3094" Properties=species:S:1:pos:R:3 pbc="T T T"
Ag 0.0000 0.0000 0.0000
Ag 0.0000 3.0000 0.0000
Ag 0.0000 3.0000 4.1547
Ag 1.4919 1.4919 2.0105
Ag 1.4919 1.4919 6.2990
Ag 1.4919 4.5081 2.0105
Ag 1.4919 4.5081 6.2990
Ag 3.0000 0.0000 0.0000
Ag 3.0000 0.0000 4.1547
Ag 3.0000 3.0000 0.0000
Ag 4.5081 1.4919 2.0105
Ag 4.5081 1.4919 6.2990
Ag 4.5081 4.5081 2.0105
Ag 4.5081 4.5081 6.2990
Hg 0.0000 0.0000 4.1547
Sb 3.0000 3.0000 4.1547
```



No. 4
The following is a theoretical XRD peak list of BeRh. It was derived from a PBE-relaxed structure, using Cu Kα X-rays.

Most intense lines, 10° ≤ 2θ ≤ 90°, low angle first:
2θ (°)	I_rel
32.1	100
46.1	91
57.3	25
67.2	14
76.4	31
85.3	30

Crystal structure
```
2
Lattice="2.7860 0.0000 0.0000 0.0000 2.7860 0.0000 0.0000 0.0000 2.7860" Properties=species:S:1:pos:R:3 pbc="T T T"
Be 0.0000 0.0000 0.0000
Rh 1.3930 1.3930 1.3930
```